Theoretical X-ray diffraction stick pattern of NdF3 for Cu Ka, from a crystal structure in OQMD, relaxed with PBE.
Kinematic intensities with the Lorentz-polarization factor, no thermal factor.

The 10 most intense peaks (2θ = 15–90°), in order of rising 2θ:
hkl	two_theta	I (rel.)
0 1 1	23.4	25
1 0 1	24.0	66
0 2 0	25.6	66
1 1 1	27.2	100
2 1 0	30.5	73
1 2 1	35.4	26
1 1 2	44.3	26
1 3 1	46.2	44
3 0 1	46.7	31
2 3 0	48.3	36

Crystal structure
Unit cell a=6.459 b=6.953 c=4.532 alpha=90.00 beta=90.00 gamma=90.00
Space group Pnma (No. 62)
One atom of each set of equivalent atoms:
Nd  0.131  0.250  0.059 (multiplicity 4)
F  0.017  0.750  0.422 (multiplicity 4)
F  0.170  0.563  0.885 (multiplicity 8)

---

Theoretical X-ray diffraction stick pattern of Tb5P for Cu Ka, from a crystal structure in OQMD, relaxed with PBE.
Kinematic intensities with the Lorentz-polarization factor, no thermal factor.

The 10 most intense peaks (2θ = 15–90°), in order of rising 2θ:
hkl	two_theta	I (rel.)
1 1 2	22.5	56
1 1 3	28.4	34
0 0 4	30.9	58
2 0 2	32.6	94
2 2 0	33.2	40
0 4 1	34.1	100
0 4 3	40.8	30
0 4 5	52.0	49
4 0 0	59.3	31
4 0 4	68.4	36

Crystal structure
Unit cell a=6.240 b=10.794 c=11.570 alpha=90.00 beta=90.00 gamma=90.00
Space group Cmcm (No. 63)
One atom of each set of equivalent atoms:
Tb  0.000  0.167  0.021 (multiplicity 8)
Tb  0.000  0.331  0.750 (multiplicity 4)
Tb  0.247  0.084  0.750 (multiplicity 8)
P  0.000  0.167  0.250 (multiplicity 4)

---

Theoretical X-ray diffraction stick pattern of LaNdNi2Sb4 for Cu Ka, from a crystal structure in OQMD, relaxed with PBE.
Kinematic intensities with the Lorentz-polarization factor, no thermal factor.

The 10 most intense peaks (2θ = 15–90°), in order of rising 2θ:
hkl	two_theta	I (rel.)
0 0 3	27.1	21
1 1 1	29.9	19
1 1 2	33.9	100
2 0 0	40.8	38
2 0 3	49.6	11
1 0 5	50.6	11
2 1 3	54.1	15
2 2 0	59.0	13
2 1 5	66.9	10
3 1 2	69.8	20

Crystal structure
Unit cell a=4.426 b=4.426 c=9.880 alpha=90.00 beta=90.00 gamma=90.00
Space group P4mm (No. 99)
One atom of each set of equivalent atoms:
La  0.000  0.000  0.000 (multiplicity 1)
Nd  0.500  0.500  0.520 (multiplicity 1)
Ni  0.000  0.500  0.756 (multiplicity 2)
Sb  0.000  0.000  0.625 (multiplicity 1)
Sb  0.000  0.500  0.263 (multiplicity 2)
Sb  0.500  0.500  0.887 (multiplicity 1)

---

Theoretical X-ray diffraction stick pattern of CsZnTe for Cu Ka, from a crystal structure in OQMD, relaxed with PBE.
Kinematic intensities with the Lorentz-polarization factor, no thermal factor.

The 10 most intense peaks (2θ = 15–90°), in order of rising 2θ:
hkl	two_theta	I (rel.)
0 1 1	16.6	25
0 0 2	20.3	26
0 1 -1	22.0	22
1 1 1	22.5	100
1 1 -1	30.5	91
0 2 1	31.9	38
2 0 -1	38.3	22
2 0 3	38.4	22
2 2 0	50.6	16
3 1 2	51.9	17

Crystal structure
Unit cell a=5.566 b=5.619 c=9.579 alpha=72.97 beta=73.31 gamma=90.00
Space group P-1 (No. 2)
One atom of each set of equivalent atoms:
Cs  0.150  0.151  0.196 (multiplicity 2)
Zn  0.220  0.500  0.500 (multiplicity 2)
Te  0.377  0.376  0.749 (multiplicity 2)

---

Theoretical X-ray diffraction stick pattern of TbGdSO2 for Cu Ka, from a crystal structure in OQMD, relaxed with PBE.
Kinematic intensities with the Lorentz-polarization factor, no thermal factor.

The 10 most intense peaks (2θ = 15–90°), in order of rising 2θ:
hkl	two_theta	I (rel.)
0 0 2	26.9	42
1 0 1	30.2	100
0 1 2	38.4	30
1 1 0	47.5	31
1 0 3	49.6	25
1 1 2	55.5	24
0 2 1	57.4	17
2 0 2	62.7	15
2 1 1	77.6	19
1 2 2	82.4	10

Crystal structure
Unit cell a=3.8246 b=3.8246 c=6.6209 alpha=90.00 beta=90.00 gamma=120.00
Space group P3m1 (No. 156)
One atom of each set of equivalent atoms:
Tb  0.0000  0.0000  0.0000 (multiplicity 1)
Gd  0.6667  0.3333  0.4369 (multiplicity 1)
S  0.3333  0.6667  0.7191 (multiplicity 1)
O  0.0000  0.0000  0.3466 (multiplicity 1)
O  0.6667  0.3333  0.0876 (multiplicity 1)

---

Theoretical X-ray diffraction stick pattern of Al3GaPd4 for Cu Ka, from a crystal structure in OQMD, relaxed with PBE.
Kinematic intensities with the Lorentz-polarization factor, no thermal factor.

The 10 most intense peaks (2θ = 15–90°), in order of rising 2θ:
hkl	two_theta	I (rel.)
1 1 0	25.6	31
0 0 3	31.5	20
2 0 2	36.5	9
2 -1 3	41.0	100
3 0 0	45.1	48
4 -2 3	62.6	11
3 2 1	68.8	9
1 1 6	71.8	31
4 0 4	77.6	7
0 2 7	86.2	9

Crystal structure
Unit cell a=6.9566 b=6.9566 c=8.5237 alpha=90.00 beta=90.00 gamma=120.00
Space group R3 (No. 146, hexagonal axes)
One atom of each set of equivalent atoms:
Al  0.0413  0.2696  0.0000 (multiplicity 9)
Ga  0.0000  0.0000  0.5406 (multiplicity 3)
Pd  0.0000  0.0000  0.2367 (multiplicity 3)
Pd  0.0970  0.6938  0.4344 (multiplicity 9)

---

Theoretical X-ray diffraction stick pattern of ZrOsNO for Cu Ka, from a crystal structure in OQMD, relaxed with PBE.
Kinematic intensities with the Lorentz-polarization factor, no thermal factor.

The 10 most intense peaks (2θ = 15–90°), in order of rising 2θ:
hkl	two_theta	I (rel.)
2 0 0	32.4	44
1 2 1	33.7	100
2 1 0	34.6	27
0 0 2	34.7	52
0 1 2	36.9	41
1 3 1	43.5	49
2 0 2	48.3	32
2 1 2	49.9	21
1 2 3	61.6	31
1 5 1	67.3	33

Crystal structure
Unit cell a=5.522 b=7.487 c=5.163 alpha=90.00 beta=90.00 gamma=90.00
Space group Pca2_1 (No. 29)
One atom of each set of equivalent atoms:
Zr  0.070  0.176  0.000 (multiplicity 4)
Os  0.028  0.555  0.023 (multiplicity 4)
N  0.174  0.651  0.685 (multiplicity 4)
O  0.133  0.038  0.659 (multiplicity 4)

---

Theoretical X-ray diffraction stick pattern of AgGeO6 for Cu Ka, from a crystal structure in OQMD, relaxed with PBE.
Kinematic intensities with the Lorentz-polarization factor, no thermal factor.

The 10 most intense peaks (2θ = 15–90°), in order of rising 2θ:
hkl	two_theta	I (rel.)
1 1 1	21.6	100
2 2 0	35.7	58
3 1 1	42.2	56
2 2 2	44.1	14
4 0 0	51.4	31
3 3 1	56.4	25
4 2 2	64.2	21
3 3 3	68.6	16
4 4 0	75.7	17
5 3 1	79.8	15

Crystal structure
Unit cell a=7.110 b=7.110 c=7.110 alpha=90.00 beta=90.00 gamma=90.00
Space group F-43m (No. 216)
One atom of each set of equivalent atoms:
Ag  0.000  0.000  0.000 (multiplicity 4)
Ge  0.250  0.250  0.250 (multiplicity 4)
O  0.013  0.250  0.750 (multiplicity 24)

---

Theoretical X-ray diffraction stick pattern of GdMgAgAu for Cu Ka, from a crystal structure in OQMD, relaxed with PBE.
Kinematic intensities with the Lorentz-polarization factor, no thermal factor.

The 10 most intense peaks (2θ = 15–90°), in order of rising 2θ:
hkl	two_theta	I (rel.)
1 0 1	22.1	25
1 1 0	25.3	9
2 0 0	36.0	26
0 2 0	36.1	26
1 1 -2	36.6	100
2 2 0	51.9	18
0 0 4	53.6	10
3 1 -2	65.1	17
1 3 -2	65.2	18
0 2 4	66.3	9

Crystal structure
Unit cell a=4.996 b=4.979 c=6.837 alpha=90.00 beta=90.07 gamma=90.00
Space group P2_1/m (No. 11)
One atom of each set of equivalent atoms:
Gd  0.236  0.250  0.242 (multiplicity 2)
Mg  0.250  0.250  0.752 (multiplicity 2)
Ag  0.265  0.750  0.501 (multiplicity 2)
Au  0.264  0.750  0.999 (multiplicity 2)

---

Theoretical X-ray diffraction stick pattern of LuCuGeTe3 for Cu Ka, from a crystal structure in OQMD, relaxed with PBE.
Kinematic intensities with the Lorentz-polarization factor, no thermal factor.

The 10 most intense peaks (2θ = 15–90°), in order of rising 2θ:
hkl	two_theta	I (rel.)
1 1 2	26.4	67
2 1 2	29.4	43
0 1 3	30.3	69
1 1 3	31.2	99
4 0 2	33.2	66
2 1 3	33.8	45
3 1 2	33.9	100
1 1 4	36.9	62
0 2 0	42.1	81
3 0 5	43.4	43

Crystal structure
Unit cell a=12.037 b=4.296 c=12.195 alpha=90.00 beta=90.00 gamma=90.00
Space group Pnma (No. 62)
One atom of each set of equivalent atoms:
Lu  0.021  0.250  0.187 (multiplicity 4)
Cu  0.239  0.750  0.295 (multiplicity 4)
Ge  0.171  0.250  0.503 (multiplicity 4)
Te  0.039  0.750  0.374 (multiplicity 4)
Te  0.103  0.250  0.937 (multiplicity 4)
Te  0.216  0.750  0.678 (multiplicity 4)

---

Theoretical X-ray diffraction stick pattern of ErAlB14 for Cu Ka, from a crystal structure in OQMD, relaxed with PBE.
Kinematic intensities with the Lorentz-polarization factor, no thermal factor.

The 10 most intense peaks (2θ = 15–90°), in order of rising 2θ:
hkl	two_theta	I (rel.)
0 2 0	17.0	71
1 0 1	18.5	25
1 2 1	25.2	53
1 1 2	27.8	100
2 1 1	33.4	54
2 2 0	35.0	32
1 0 3	36.2	22
1 3 2	37.2	49
1 2 3	40.2	50
2 3 1	41.6	44

Crystal structure
Unit cell a=5.892 b=10.439 c=8.206 alpha=90.00 beta=90.00 gamma=90.00
Space group Imma (No. 74)
One atom of each set of equivalent atoms:
Er  0.000  0.250  0.151 (multiplicity 4)
Al  0.250  0.250  0.750 (multiplicity 4)
B  0.000  0.090  0.667 (multiplicity 8)
B  0.000  0.143  0.874 (multiplicity 8)
B  0.000  0.167  0.466 (multiplicity 8)
B  0.163  0.061  0.338 (multiplicity 16)
B  0.248  0.080  0.548 (multiplicity 16)

---

Theoretical X-ray diffraction stick pattern of Zn2Co3Cu3 for Cu Ka, from a crystal structure in OQMD, relaxed with PBE.
Kinematic intensities with the Lorentz-polarization factor, no thermal factor.

The 7 most intense peaks (2θ = 15–90°), in order of rising 2θ:
hkl	two_theta	I (rel.)
2 0 0	41.1	24
0 0 2	42.3	30
2 0 1	46.5	100
2 0 2	60.5	14
2 2 0	74.9	14
2 0 3	80.4	18
4 0 0	89.2	2

Crystal structure
Unit cell a=5.0721 b=5.0721 c=4.2690 alpha=90.00 beta=90.00 gamma=120.00
Space group P-6m2 (No. 187)
One atom of each set of equivalent atoms:
Zn  0.0000  0.0000  0.0000 (multiplicity 1)
Zn  0.3333  0.6667  0.5000 (multiplicity 1)
Co  0.5003  0.0006  0.0000 (multiplicity 3)
Cu  0.3387  0.1694  0.5000 (multiplicity 3)